Structure and computed powder diffraction line list of Pr2ThCo (a DFT-relaxed cell (PBE, Alexandria); Cu Kα).
Peak positions follow from Bragg's law for the DFT cell and can differ from measured ones.

Principal peaks in the range 2θ from 10° to 90°, by angle:
index, 2theta, I_rel
0 0 6, 16.64, 175
0 0 9, 25.07, 640
1 0 1, 28.57, 1000
0 1 2, 28.99, 758
1 0 7, 34.68, 190
0 1 8, 36.40, 947
1 0 10, 40.27, 709
1 1 0, 50.35, 480
1 1 9, 57.06, 566
2 0 8, 63.70, 185
1 1 18, 74.85, 295
1 2 8, 85.34, 168

Crystal structure
a = 3.6248 Å, b = 3.6248 Å, c = 31.9665 Å
α = 90.00°, β = 90.00°, γ = 120.00°
Space group R-3m (No. 166, hexagonal axes)
Inequivalent atoms, fractional coordinates:
Pr1 0.0000 0.0000 0.1113 x6
Th1 0.0000 0.0000 0.0000 x3
Co1 0.0000 0.0000 0.5000 x3